# Ba3Nd3Co6O17
Computed powder diffraction line list, λ = 1.5418 Å (Cu Kα). Input: the GGA+U geometry in Alexandria.
Kinematic intensities with the Lorentz-polarization factor, no thermal factor.

Peak list (8 most intense, 15 to 90 degrees two-theta, sorted by position)
Position (°2θ)	d [Å]	I (rel.)
22.79	3.903	25
32.44	2.760	95
32.59	2.748	100
32.74	2.735	100
46.54	1.951	61
47.19	1.926	27
57.92	1.592	37
58.21	1.585	27

Structure:
a = 16.332 Å, b = 5.523 Å, c = 9.505 Å
α = 90.00°, β = 124.79°, γ = 90.00°
Space group C2/m (No. 12)
Inequivalent atoms, fractional coordinates:
Ba (0.000, 0.000, 0.000)
Ba (0.167, 0.500, 0.326)
Nd (0.000, 0.500, 0.500)
Nd (0.176, 0.000, 0.855)
Co (0.083, 0.500, 0.913)
Co (0.088, 0.000, 0.414)
Co (0.244, 0.500, 0.747)
O (0.000, 0.500, 0.000)
O (0.009, 0.248, 0.735)
O (0.149, 0.244, 0.594)
O (0.173, 0.500, 0.852)
O (0.174, 0.250, 0.077)
O (0.178, 0.000, 0.347)